Simulated PXRD pattern
Compound: P2Pb8O13
Radiation: a wavelength of 1.5418 Å
Structure: a cell relaxed with GGA-PBE

Top 6 peaks for 10° ≤ 2θ ≤ 90°, sorted by position:
hkl, 2θ/deg, d/Å, I/Imax
2 2 2, 27.77, 3.213, 100
2 2 -3, 28.56, 3.125, 96
0 0 5, 30.74, 2.908, 35
4 0 -1, 32.86, 2.726, 28
0 4 0, 34.23, 2.620, 28
0 4 5, 46.66, 1.946, 37

Structural model:
Cell lengths 10.913, 10.478, 14.690 Å; angles 90.00, 98.19, 90.00 degrees
Space group C2/m (No. 12)
Asymmetric unit:
P1 0.000 0.247 0.000 (multiplicity 4)
P2 0.159 0.500 0.600 (multiplicity 4)
Pb1 0.068 0.000 0.216 (multiplicity 4)
Pb2 0.072 0.500 0.195 (multiplicity 4)
Pb3 0.085 0.261 0.406 (multiplicity 8)
Pb4 0.167 0.000 0.616 (multiplicity 4)
Pb5 0.190 0.235 0.797 (multiplicity 8)
Pb6 0.234 0.000 0.987 (multiplicity 4)
O1 0.032 0.141 0.707 (multiplicity 8)
O2 0.072 0.160 0.938 (multiplicity 8)
O3 0.095 0.332 0.063 (multiplicity 8)
O4 0.099 0.378 0.637 (multiplicity 8)
O5 0.146 0.500 0.493 (multiplicity 4)
O6 0.188 0.358 0.305 (multiplicity 8)
O7 0.201 0.000 0.360 (multiplicity 4)
O8 0.227 0.000 0.837 (multiplicity 4)